Calculated powder XRD pattern
Compound: Na2Mo3O13
Radiation: Cu Kα, 1.54184 Å
Structure: a GGA+U-relaxed structure
Intensities are scaled so that the largest is 100.

Structural model:
```
data_Na2Mo3O13
_chemical_formula_sum 'Na4 Mo6 O26'
_cell_length_a 17.2150
_cell_length_b 3.7544
_cell_length_c 10.2518
_cell_angle_alpha 90.00
_cell_angle_beta 125.53
_cell_angle_gamma 90.00
_symmetry_space_group_name_H-M 'C 1 m 1'
_symmetry_Int_Tables_number 8
loop_
_symmetry_equiv_pos_as_xyz
'x,y,z'
'x,-y,z'
'x+1/2,y+1/2,z'
'x+1/2,-y+1/2,z'
loop_
_atom_site_label
_atom_site_fract_x
_atom_site_fract_y
_atom_site_fract_z
Na1 0.0000 0.0000 0.0000
Na2 0.1750 0.5000 0.6841
Mo1 0.2363 0.5000 0.1390
Mo2 0.4426 0.0000 0.2595
Mo3 0.4523 0.5000 0.5631
O1 0.0650 0.5000 0.3918
O2 0.0730 0.0000 0.6293
O3 0.1195 0.5000 0.0854
O4 0.2213 0.5000 0.9545
O5 0.2382 0.0000 0.4173
O6 0.2547 0.0000 0.6379
O7 0.2836 0.0000 0.1787
O8 0.3090 0.5000 0.3878
O9 0.3386 0.5000 0.7699
O10 0.4142 0.5000 0.2723
O11 0.4268 0.0000 0.0756
O12 0.4397 0.0000 0.4926
O13 0.4626 0.5000 0.7418
```

Largest 10 diffraction maxima, low angle first, 10° ≤ 2θ ≤ 90°:
10.60 deg, intensity 51.8
10.78 deg, intensity 100.0
12.64 deg, intensity 30.1
21.30 deg, intensity 19.5
25.43 deg, intensity 32.8
26.75 deg, intensity 27.5
28.27 deg, intensity 31.9
28.41 deg, intensity 42.8
30.26 deg, intensity 32.8
48.49 deg, intensity 17.1